No. 1
# Y2Pt5Au
Computed X-ray diffraction stick pattern, Cu Kα. Input: a DFT-relaxed cell (GGA-PBE, Alexandria).
Kinematic intensities with the Lorentz-polarization factor, no thermal factor.

Cell and atoms:
Cell lengths 5.874, 11.734, 4.161 Å; angles 90.00, 90.00, 90.00 degrees
Space group Pbam (No. 55)
Inequivalent atoms, fractional coordinates:
Y1 0.240 0.129 0.000 x4
Pt1 0.000 0.000 0.500 x2
Pt2 0.008 0.751 0.500 x4
Pt3 0.247 0.376 0.000 x4
Au1 0.000 0.500 0.500 x2

Largest 10 diffraction maxima, by angle, 2θ = 10–90°:
| index | 2θ (°) | d_spacing | Rel. int. |
| --- | --- | --- | --- |
| 0 0 1 | 21.4 | 4.155 | 69 |
| 0 4 0 | 30.4 | 2.938 | 60 |
| 0 4 1 | 37.5 | 2.399 | 1000 |
| 0 0 2 | 43.5 | 2.081 | 166 |
| 2 4 0 | 43.6 | 2.075 | 327 |
| 2 4 2 | 63.3 | 1.469 | 272 |
| 0 8 0 | 63.4 | 1.467 | 54 |
| 0 4 3 | 75.9 | 1.254 | 130 |
| 2 8 1 | 76.0 | 1.252 | 256 |
| 0 8 2 | 80.0 | 1.199 | 113 |

***

No. 2
# AcMg10Ni3
Computed X-ray diffraction stick pattern, Cu Kα. Input: a DFT-relaxed cell (GGA-PBE, Alexandria).
Kinematic intensities with the Lorentz-polarization factor, no thermal factor.

Cell and atoms:
Cell lengths 13.477, 13.477, 13.477 Å; angles 90.00, 90.00, 90.00 degrees
Space group Fm-3m (No. 225)
Inequivalent atoms, fractional coordinates:
Ac1 0.250 0.250 0.250 x8
Mg1 0.000 0.167 0.167 x48
Mg2 0.108 0.108 0.392 x32
Ni1 0.000 0.000 0.268 x24

Largest 10 diffraction maxima, by angle, 2θ = 10–90°:
| index | 2θ (°) | d_spacing | Rel. int. |
| --- | --- | --- | --- |
| 2 0 0 | 13.1 | 6.739 | 298 |
| 2 2 0 | 18.6 | 4.765 | 246 |
| 2 2 2 | 22.9 | 3.891 | 1000 |
| 4 0 0 | 26.5 | 3.369 | 374 |
| 4 2 0 | 29.6 | 3.014 | 534 |
| 4 2 2 | 32.5 | 2.751 | 307 |
| 4 4 0 | 37.8 | 2.382 | 605 |
| 6 2 2 | 44.6 | 2.032 | 717 |
| 6 6 2 | 59.8 | 1.546 | 220 |
| 8 4 4 | 68.2 | 1.376 | 229 |

***

No. 3
# KHgMo4
Computed X-ray diffraction stick pattern, Cu Kα. Input: a DFT-relaxed cell (GGA-PBE, Alexandria).
Kinematic intensities with the Lorentz-polarization factor, no thermal factor.

Cell and atoms:
Cell lengths 7.732, 7.732, 7.732 Å; angles 90.00, 90.00, 90.00 degrees
Space group F-43m (No. 216)
Inequivalent atoms, fractional coordinates:
K1 0.000 0.000 0.000 x4
Hg1 0.250 0.250 0.250 x4
Mo1 0.126 0.126 0.626 x16

Largest 10 diffraction maxima, by angle, 2θ = 10–90°:
| index | 2θ (°) | d_spacing | Rel. int. |
| --- | --- | --- | --- |
| 1 1 1 | 19.9 | 4.464 | 144 |
| 2 0 0 | 23.0 | 3.866 | 172 |
| 2 2 0 | 32.8 | 2.734 | 311 |
| 3 1 1 | 38.6 | 2.331 | 1000 |
| 2 2 2 | 40.4 | 2.232 | 357 |
| 4 2 2 | 58.5 | 1.578 | 118 |
| 5 1 1 | 62.4 | 1.488 | 323 |
| 4 4 0 | 68.7 | 1.367 | 242 |
| 5 3 3 | 81.7 | 1.179 | 114 |
| 6 2 2 | 82.8 | 1.166 | 134 |

***

No. 4
# MgVWS4
Computed X-ray diffraction stick pattern, Cu Kα. Input: a DFT-relaxed cell (GGA-PBE, Alexandria).
Kinematic intensities with the Lorentz-polarization factor, no thermal factor.

Cell and atoms:
Cell lengths 7.381, 7.484, 9.010 Å; angles 90.00, 90.00, 90.00 degrees
Space group Imm2 (No. 44)
Inequivalent atoms, fractional coordinates:
Mg1 0.000 0.000 0.000 x2
Mg2 0.000 0.500 0.143 x2
V1 0.000 0.246 0.617 x4
W1 0.187 0.000 0.407 x4
S1 0.000 0.255 0.363 x4
S2 0.000 0.301 0.906 x4
S3 0.187 0.000 0.673 x4
S4 0.218 0.500 0.640 x4

Largest 10 diffraction maxima, by angle, 2θ = 10–90°:
| index | 2θ (°) | d_spacing | Rel. int. |
| --- | --- | --- | --- |
| 0 1 1 | 15.4 | 5.757 | 1000 |
| 1 0 1 | 15.5 | 5.710 | 212 |
| 0 0 2 | 19.7 | 4.505 | 146 |
| 0 2 0 | 23.8 | 3.742 | 159 |
| 2 1 1 | 28.7 | 3.107 | 221 |
| 0 1 3 | 32.1 | 2.787 | 294 |
| 2 2 0 | 34.1 | 2.628 | 338 |
| 0 0 4 | 40.0 | 2.253 | 163 |
| 3 2 1 | 45.2 | 2.004 | 219 |
| 2 2 4 | 53.6 | 1.710 | 162 |

***

No. 5
# UTi2S6
Computed X-ray diffraction stick pattern, Cu Kα. Input: a DFT-relaxed cell (GGA-PBE, Alexandria).
Kinematic intensities with the Lorentz-polarization factor, no thermal factor.

Cell and atoms:
Cell lengths 16.684, 3.614, 7.847 Å; angles 90.00, 110.25, 90.00 degrees
Space group C2/m (No. 12)
Inequivalent atoms, fractional coordinates:
U1 0.000 0.000 0.000 x2
Ti1 0.174 0.500 0.352 x4
S1 0.014 0.500 0.252 x4
S2 0.166 0.000 0.125 x4
S3 0.174 0.000 0.564 x4

Largest 10 diffraction maxima, by angle, 2θ = 10–90°:
| index | 2θ (°) | d_spacing | Rel. int. |
| --- | --- | --- | --- |
| 2 0 0 | 11.3 | 7.826 | 248 |
| 0 0 1 | 12.0 | 7.362 | 186 |
| 2 0 -1 | 13.4 | 6.628 | 1000 |
| 1 1 1 | 28.9 | 3.084 | 218 |
| 4 0 1 | 29.3 | 3.046 | 105 |
| 1 1 -2 | 33.8 | 2.650 | 400 |
| 6 0 0 | 34.4 | 2.610 | 225 |
| 3 1 -3 | 42.9 | 2.107 | 136 |
| 7 1 -2 | 46.9 | 1.938 | 141 |
| 5 1 2 | 51.1 | 1.789 | 112 |

***

No. 6
# Rb3RuF12
Computed X-ray diffraction stick pattern, Cu Kα. Input: a DFT-relaxed cell (GGA-PBE, Alexandria).
Kinematic intensities with the Lorentz-polarization factor, no thermal factor.

Cell and atoms:
Cell lengths 7.944, 15.072, 5.167 Å; angles 90.00, 97.09, 90.00 degrees
Space group C2/m (No. 12)
Inequivalent atoms, fractional coordinates:
Rb1 0.000 0.000 0.000 x2
Rb2 0.250 0.250 0.500 x4
Ru1 0.000 0.500 0.500 x2
F1 0.030 0.180 0.833 x8
F2 0.126 0.423 0.281 x8
F3 0.163 0.424 0.723 x8

Largest 10 diffraction maxima, by angle, 2θ = 10–90°:
| index | 2θ (°) | d_spacing | Rel. int. |
| --- | --- | --- | --- |
| 0 0 1 | 17.3 | 5.127 | 427 |
| 1 1 -1 | 20.3 | 4.367 | 965 |
| 0 2 1 | 21.0 | 4.238 | 422 |
| 1 1 1 | 22.6 | 3.933 | 703 |
| 0 4 0 | 23.6 | 3.768 | 542 |
| 2 2 0 | 25.5 | 3.493 | 896 |
| 2 2 -1 | 29.4 | 3.041 | 519 |
| 2 2 -2 | 41.3 | 2.184 | 495 |
| 2 6 0 | 42.7 | 2.119 | 1000 |
| 2 2 2 | 46.2 | 1.967 | 317 |

***

No. 7
# TlGeAu2Se4
Computed X-ray diffraction stick pattern, Cu Kα. Input: a DFT-relaxed cell (GGA-PBE, Alexandria).
Kinematic intensities with the Lorentz-polarization factor, no thermal factor.

Cell and atoms:
Cell lengths 6.911, 7.326, 8.556 Å; angles 90.00, 90.00, 90.00 degrees
Space group I222 (No. 23)
Inequivalent atoms, fractional coordinates:
Tl1 0.000 0.000 0.000 x2
Ge1 0.000 0.000 0.500 x2
Au1 0.000 0.500 0.170 x4
Se1 0.202 0.195 0.342 x8

Largest 10 diffraction maxima, by angle, 2θ = 10–90°:
| index | 2θ (°) | d_spacing | Rel. int. |
| --- | --- | --- | --- |
| 1 0 1 | 16.5 | 5.376 | 370 |
| 0 2 0 | 24.3 | 3.663 | 201 |
| 1 1 2 | 27.4 | 3.258 | 1000 |
| 1 2 1 | 29.5 | 3.027 | 427 |
| 0 1 3 | 33.7 | 2.658 | 389 |
| 2 2 0 | 35.7 | 2.514 | 649 |
| 2 1 3 | 42.9 | 2.107 | 194 |
| 1 3 2 | 44.7 | 2.028 | 265 |
| 3 1 2 | 46.5 | 1.955 | 246 |
| 2 3 3 | 56.3 | 1.634 | 257 |

***

No. 8
# Tb5Th3Bi8
Computed X-ray diffraction stick pattern, Cu Kα. Input: a DFT-relaxed cell (GGA-PBE, Alexandria).
Kinematic intensities with the Lorentz-polarization factor, no thermal factor.

Cell and atoms:
Cell lengths 9.0781, 9.0781, 22.1657 Å; angles 90.00, 90.00, 120.00 degrees
Space group R-3m (No. 166, hexagonal axes)
Inequivalent atoms, fractional coordinates:
Tb1 0.0000 0.0000 0.0000 x3
Tb2 0.0000 0.0000 0.5000 x3
Tb3 0.0000 0.5000 0.0000 x9
Th1 0.0000 0.5000 0.5000 x9
Bi1 0.0000 0.0000 0.2529 x6
Bi2 0.0034 0.5017 0.2517 x18

Largest 10 diffraction maxima, by angle, 2θ = 10–90°:
| index | 2θ (°) | d_spacing | Rel. int. |
| --- | --- | --- | --- |
| 0 2 4 | 27.8 | 3.206 | 1000 |
| 2 2 0 | 39.8 | 2.267 | 786 |
| 4 0 4 | 49.2 | 1.852 | 216 |
| 0 0 12 | 49.3 | 1.847 | 71 |
| 0 4 8 | 57.5 | 1.603 | 136 |
| 2 4 4 | 65.0 | 1.435 | 190 |
| 2 2 12 | 65.1 | 1.433 | 187 |
| 6 0 0 | 72.1 | 1.310 | 212 |
| 0 2 16 | 72.3 | 1.307 | 69 |
| 4 4 0 | 85.6 | 1.135 | 47 |

***

No. 9
# AcNd2Al
Computed X-ray diffraction stick pattern, Cu Kα. Input: a DFT-relaxed cell (GGA-PBE, Alexandria).
Kinematic intensities with the Lorentz-polarization factor, no thermal factor.

Cell and atoms:
Cell lengths 5.552, 7.023, 6.599 Å; angles 90.00, 90.00, 90.00 degrees
Space group Pmmn (No. 59, origin choice 2)
Inequivalent atoms, fractional coordinates:
Ac1 0.250 0.250 0.113 x2
Nd1 0.250 0.012 0.644 x4
Al1 0.250 0.750 0.205 x2

Largest 10 diffraction maxima, by angle, 2θ = 10–90°:
| index | 2θ (°) | d_spacing | Rel. int. |
| --- | --- | --- | --- |
| 1 1 0 | 20.4 | 4.355 | 478 |
| 1 1 1 | 24.5 | 3.635 | 288 |
| 0 2 1 | 28.8 | 3.100 | 569 |
| 0 1 2 | 29.9 | 2.986 | 209 |
| 1 0 2 | 31.5 | 2.836 | 962 |
| 2 0 0 | 32.2 | 2.776 | 495 |
| 1 2 1 | 33.1 | 2.707 | 1000 |
| 2 2 1 | 43.8 | 2.068 | 369 |
| 3 2 1 | 58.0 | 1.589 | 202 |
| 1 4 2 | 62.2 | 1.493 | 269 |

***

No. 10
# BaHf4
Computed X-ray diffraction stick pattern, Cu Kα. Input: a DFT-relaxed cell (GGA-PBE, Alexandria).
Kinematic intensities with the Lorentz-polarization factor, no thermal factor.

Cell and atoms:
Cell lengths 5.217, 5.217, 5.217 Å; angles 90.00, 90.00, 90.00 degrees
Space group Pm-3m (No. 221)
Inequivalent atoms, fractional coordinates:
Ba1 0.000 0.000 0.000 x1
Hf1 0.000 0.000 0.500 x3
Hf2 0.500 0.500 0.500 x1

Largest 10 diffraction maxima, by angle, 2θ = 10–90°:
| index | 2θ (°) | d_spacing | Rel. int. |
| --- | --- | --- | --- |
| 1 0 0 | 17.0 | 5.217 | 142 |
| 1 1 0 | 24.1 | 3.689 | 124 |
| 1 1 1 | 29.7 | 3.012 | 917 |
| 2 0 0 | 34.4 | 2.609 | 1000 |
| 2 2 0 | 49.4 | 1.845 | 724 |
| 3 1 1 | 58.7 | 1.573 | 412 |
| 2 2 2 | 61.6 | 1.506 | 251 |
| 4 0 0 | 72.5 | 1.304 | 117 |
| 3 3 1 | 80.2 | 1.197 | 169 |
| 4 2 0 | 82.7 | 1.167 | 332 |

***

No. 11
# Mn12Sb2P
Computed X-ray diffraction stick pattern, Cu Kα. Input: a DFT-relaxed cell (GGA-PBE, Alexandria).
Kinematic intensities with the Lorentz-polarization factor, no thermal factor.

Cell and atoms:
Cell lengths 4.489, 4.554, 10.347 Å; angles 89.36, 80.52, 71.34 degrees
Space group P-1 (No. 2)
Inequivalent atoms, fractional coordinates:
Mn1 0.017 0.247 0.452 x2
Mn2 0.078 0.735 0.301 x2
Mn3 0.123 0.233 0.174 x2
Mn4 0.169 0.686 0.031 x2
Mn5 0.365 0.285 0.827 x2
Mn6 0.476 0.255 0.563 x2
Sb1 0.423 0.769 0.701 x2
P1 0.500 0.000 0.000 x1

Largest 10 diffraction maxima, by angle, 2θ = 10–90°:
| index | 2θ (°) | d_spacing | Rel. int. |
| --- | --- | --- | --- |
| 1 1 -3 | 38.1 | 2.361 | 558 |
| 1 1 4 | 40.9 | 2.208 | 1000 |
| 0 2 0 | 41.9 | 2.156 | 853 |
| 2 0 1 | 42.5 | 2.126 | 953 |
| 1 1 -4 | 45.6 | 1.989 | 443 |
| 1 -1 4 | 46.3 | 1.959 | 636 |
| -1 1 3 | 46.6 | 1.950 | 589 |
| 2 2 1 | 49.8 | 1.832 | 365 |
| 2 2 0 | 50.0 | 1.825 | 200 |
| 2 -2 1 | 71.6 | 1.318 | 197 |

***

No. 12
# Rb2Zn5As4
Computed X-ray diffraction stick pattern, Cu Kα. Input: a DFT-relaxed cell (GGA-PBE, Alexandria).
Kinematic intensities with the Lorentz-polarization factor, no thermal factor.

Cell and atoms:
Cell lengths 11.787, 7.232, 11.888 Å; angles 90.00, 90.00, 90.00 degrees
Space group Cmcm (No. 63)
Inequivalent atoms, fractional coordinates:
Rb1 0.215 0.000 0.000 x8
Zn1 0.000 0.012 0.250 x4
Zn2 0.000 0.345 0.608 x8
Zn3 0.144 0.385 0.250 x8
As1 0.000 0.284 0.100 x8
As2 0.155 0.240 0.750 x8

Largest 10 diffraction maxima, by angle, 2θ = 10–90°:
| index | 2θ (°) | d_spacing | Rel. int. |
| --- | --- | --- | --- |
| 2 2 0 | 28.9 | 3.085 | 483 |
| 3 1 2 | 29.9 | 2.985 | 1000 |
| 2 2 2 | 32.7 | 2.736 | 915 |
| 0 2 3 | 33.5 | 2.674 | 336 |
| 2 0 4 | 33.8 | 2.654 | 705 |
| 4 0 2 | 34.0 | 2.640 | 464 |
| 1 3 0 | 38.1 | 2.362 | 374 |
| 3 3 1 | 44.7 | 2.027 | 731 |
| 4 2 4 | 50.4 | 1.811 | 489 |
| 5 1 4 | 51.0 | 1.790 | 273 |

***

- Which formula does entry 10 have?
  BaHf4